Structure and simulated powder XRD pattern of AsAuF6 (a PBE-relaxed structure; a wavelength of 1.5418 Å).
Neutral-atom scattering factors, no anomalous dispersion.

Peak list (10 most intense, 5 to 70 degrees two-theta, by intensity)
d = 3.250 Å, I = 100
d = 1.876 Å, I = 45
d = 1.453 Å, I = 21
d = 2.055 Å, I = 16
d = 1.625 Å, I = 16
d = 4.596 Å, I = 12
d = 2.298 Å, I = 12
d = 2.654 Å, I = 9
d = 1.532 Å, I = 5
d = 1.386 Å, I = 3

Crystal structure
```
data_AsAuF6
_chemical_formula_sum 'As4 Au4 F24'
_space_group_name_H-M_alt 'P 1'
_space_group_IT_number 1
_space_group_name_Hall 'P 1'
_cell_length_a 7.9608
_cell_length_b 7.9608
_cell_length_c 7.9608
_cell_angle_alpha 109.47
_cell_angle_beta 109.47
_cell_angle_gamma 109.47
loop_
_atom_site_label
_atom_site_fract_x
_atom_site_fract_y
_atom_site_fract_z
_atom_site_occupancy
As1 0.0000 0.0000 0.5000 1
As2 0.0000 0.5000 0.0000 1
As3 0.5000 0.0000 0.0000 1
As4 0.5000 0.5000 0.5000 1
Au1 0.0000 0.0000 0.0000 1
Au2 0.0000 0.5000 0.5000 1
Au3 0.5000 0.0000 0.5000 1
Au4 0.5000 0.5000 0.0000 1
F1 0.0412 0.9501 0.7071 1
F2 0.0499 0.2929 0.9588 1
F3 0.0911 0.5412 0.8342 1
F4 0.1658 0.9089 0.4588 1
F5 0.2071 0.2569 0.6658 1
F6 0.2431 0.4501 0.4089 1
F7 0.2569 0.6658 0.2071 1
F8 0.2929 0.9588 0.0499 1
F9 0.3342 0.7929 0.7431 1
F10 0.4089 0.2431 0.4501 1
F11 0.4501 0.4089 0.2431 1
F12 0.4588 0.1658 0.9089 1
F13 0.5412 0.8342 0.0911 1
F14 0.5499 0.5911 0.7569 1
F15 0.5911 0.7569 0.5499 1
F16 0.6658 0.2071 0.2569 1
F17 0.7071 0.0412 0.9501 1
F18 0.7431 0.3342 0.7929 1
F19 0.7569 0.5499 0.5911 1
F20 0.7929 0.7431 0.3342 1
F21 0.8342 0.0911 0.5412 1
F22 0.9089 0.4588 0.1658 1
F23 0.9501 0.7071 0.0412 1
F24 0.9588 0.0499 0.2929 1
```

=====

Structure and simulated powder XRD pattern of FeReAg2 (a PBE-relaxed structure; a wavelength of 1.5418 Å).
Neutral-atom scattering factors, no anomalous dispersion.

Peak list (8 most intense, 5 to 70 degrees two-theta, by intensity)
d = 2.217 Å, I = 100
d = 1.568 Å, I = 16
d = 3.135 Å, I = 9
d = 3.621 Å, I = 9
d = 1.891 Å, I = 5
d = 1.402 Å, I = 4
d = 1.810 Å, I = 3
d = 1.439 Å, I = 2

Crystal structure
```
data_FeReAg2
_chemical_formula_sum 'Fe1 Re1 Ag2'
_space_group_name_H-M_alt 'P 1'
_space_group_IT_number 1
_space_group_name_Hall 'P 1'
_cell_length_a 4.4342
_cell_length_b 4.4342
_cell_length_c 4.4342
_cell_angle_alpha 60.00
_cell_angle_beta 60.00
_cell_angle_gamma 60.00
loop_
_atom_site_label
_atom_site_fract_x
_atom_site_fract_y
_atom_site_fract_z
_atom_site_occupancy
Fe1 0.0000 0.0000 0.0000 1
Re1 0.7500 0.7500 0.7500 1
Ag1 0.2500 0.2500 0.2500 1
Ag2 0.5000 0.5000 0.5000 1
```

=====

Structure and simulated powder XRD pattern of Y3Er2Tm3 (a PBE-relaxed structure; a wavelength of 1.5418 Å).
Neutral-atom scattering factors, no anomalous dispersion.

Peak list (10 most intense, 5 to 70 degrees two-theta, by intensity)
d = 2.720 Å, I = 100
d = 3.114 Å, I = 27
d = 2.791 Å, I = 24
d = 1.511 Å, I = 22
d = 1.597 Å, I = 20
d = 1.798 Å, I = 20
d = 2.079 Å, I = 17
d = 1.500 Å, I = 16
d = 5.583 Å, I = 5
d = 1.360 Å, I = 4

Crystal structure
```
data_Y3Er2Tm3
_chemical_formula_sum 'Y3 Er2 Tm3'
_space_group_name_H-M_alt 'P 1'
_space_group_IT_number 1
_space_group_name_Hall 'P 1'
_cell_length_a 7.1914
_cell_length_b 7.1914
_cell_length_c 5.5827
_cell_angle_alpha 90.00
_cell_angle_beta 90.00
_cell_angle_gamma 120.00
loop_
_atom_site_label
_atom_site_fract_x
_atom_site_fract_y
_atom_site_fract_z
_atom_site_occupancy
Y1 0.0003 0.5002 0.0000 1
Y2 0.4998 0.9997 0.0000 1
Y3 0.4998 0.5002 0.0000 1
Er1 0.0000 0.0000 0.0000 1
Er2 0.3333 0.6667 0.5000 1
Tm1 0.3324 0.1662 0.5000 1
Tm2 0.8338 0.1662 0.5000 1
Tm3 0.8338 0.6676 0.5000 1
```

=====

Structure and simulated powder XRD pattern of CsZrMo (a PBE-relaxed structure; a wavelength of 1.5418 Å).
Neutral-atom scattering factors, no anomalous dispersion.

Peak list (9 most intense, 5 to 70 degrees two-theta, by intensity)
d = 2.360 Å, I = 100
d = 3.855 Å, I = 41
d = 1.363 Å, I = 34
d = 2.013 Å, I = 20
d = 1.669 Å, I = 17
d = 1.532 Å, I = 8
d = 3.338 Å, I = 5
d = 1.493 Å, I = 2
d = 1.927 Å, I = 1

Crystal structure
```
data_CsZrMo
_chemical_formula_sum 'Cs1 Zr1 Mo1'
_space_group_name_H-M_alt 'P 1'
_space_group_IT_number 1
_space_group_name_Hall 'P 1'
_cell_length_a 4.7208
_cell_length_b 4.7208
_cell_length_c 4.7208
_cell_angle_alpha 60.00
_cell_angle_beta 60.00
_cell_angle_gamma 60.00
loop_
_atom_site_label
_atom_site_fract_x
_atom_site_fract_y
_atom_site_fract_z
_atom_site_occupancy
Cs1 0.0000 0.0000 0.0000 1
Zr1 0.2500 0.2500 0.2500 1
Mo1 0.7500 0.7500 0.7500 1
```

=====

Structure and simulated powder XRD pattern of Fe2Sn2W3 (a PBE-relaxed structure; a wavelength of 1.5418 Å).
Neutral-atom scattering factors, no anomalous dispersion.

Peak list (10 most intense, 5 to 70 degrees two-theta, by intensity)
d = 2.266 Å, I = 100
d = 2.206 Å, I = 96
d = 1.580 Å, I = 33
d = 6.566 Å, I = 26
d = 3.019 Å, I = 11
d = 2.091 Å, I = 9
d = 2.743 Å, I = 9
d = 3.562 Å, I = 4
d = 1.751 Å, I = 3
d = 1.781 Å, I = 3

Crystal structure
```
data_Fe2Sn2W3
_chemical_formula_sum 'Fe2 Sn2 W3'
_space_group_name_H-M_alt 'P 1'
_space_group_IT_number 1
_space_group_name_Hall 'P 1'
_cell_length_a 7.0424
_cell_length_b 7.0424
_cell_length_c 7.0424
_cell_angle_alpha 36.51
_cell_angle_beta 36.51
_cell_angle_gamma 36.51
loop_
_atom_site_label
_atom_site_fract_x
_atom_site_fract_y
_atom_site_fract_z
_atom_site_occupancy
Fe1 0.0000 0.0000 0.0000 1
Fe2 0.4383 0.4383 0.4383 1
Sn1 0.1480 0.1480 0.1480 1
Sn2 0.7212 0.7212 0.7212 1
W1 0.2988 0.2988 0.2988 1
W2 0.5798 0.5798 0.5798 1
W3 0.8728 0.8728 0.8728 1
```

=====

Structure and simulated powder XRD pattern of LiNb3Se5 (a PBE-relaxed structure; a wavelength of 1.5418 Å).
Neutral-atom scattering factors, no anomalous dispersion.

Peak list (10 most intense, 5 to 70 degrees two-theta, by intensity)
d = 7.633 Å, I = 100
d = 2.097 Å, I = 60
d = 2.383 Å, I = 46
d = 5.018 Å, I = 32
d = 2.308 Å, I = 30
d = 2.897 Å, I = 26
d = 1.449 Å, I = 15
d = 1.786 Å, I = 15
d = 2.544 Å, I = 14
d = 3.038 Å, I = 13

Crystal structure
```
data_LiNb3Se5
_chemical_formula_sum 'Li1 Nb3 Se5'
_space_group_name_H-M_alt 'P 1'
_space_group_IT_number 1
_space_group_name_Hall 'P 1'
_cell_length_a 5.7941
_cell_length_b 5.7941
_cell_length_c 7.6334
_cell_angle_alpha 90.00
_cell_angle_beta 90.00
_cell_angle_gamma 120.00
loop_
_atom_site_label
_atom_site_fract_x
_atom_site_fract_y
_atom_site_fract_z
_atom_site_occupancy
Li1 0.0000 0.0000 0.0000 1
Nb1 0.0000 0.5000 0.5000 1
Nb2 0.5000 0.0000 0.5000 1
Nb3 0.5000 0.5000 0.5000 1
Se1 0.0000 0.0000 0.5000 1
Se2 0.3333 0.6667 0.2312 1
Se3 0.3333 0.6667 0.7688 1
Se4 0.6667 0.3333 0.2312 1
Se5 0.6667 0.3333 0.7688 1
```

=====

Structure and simulated powder XRD pattern of DySc2Cu4Si2Ge2 (a PBE-relaxed structure; a wavelength of 1.5418 Å).
Neutral-atom scattering factors, no anomalous dispersion.

Peak list (10 most intense, 5 to 70 degrees two-theta, by intensity)
d = 2.505 Å, I = 100
d = 2.390 Å, I = 66
d = 3.044 Å, I = 45
d = 1.980 Å, I = 43
d = 1.995 Å, I = 36
d = 1.845 Å, I = 35
d = 2.229 Å, I = 29
d = 1.405 Å, I = 27
d = 2.972 Å, I = 21
d = 2.480 Å, I = 20

Crystal structure
```
data_DySc2Cu4Si2Ge2
_chemical_formula_sum 'Dy1 Sc2 Cu4 Si2 Ge2'
_space_group_name_H-M_alt 'P 1'
_space_group_IT_number 1
_space_group_name_Hall 'P 1'
_cell_length_a 7.7247
_cell_length_b 7.7247
_cell_length_c 7.7247
_cell_angle_alpha 150.06
_cell_angle_beta 129.17
_cell_angle_gamma 60.12
loop_
_atom_site_label
_atom_site_fract_x
_atom_site_fract_y
_atom_site_fract_z
_atom_site_occupancy
Dy1 0.0000 0.0000 0.0000 1
Sc1 0.3730 0.8730 0.5000 1
Sc2 0.6270 0.1270 0.5000 1
Cu1 0.0163 0.3236 0.6927 1
Cu2 0.3690 0.6764 0.6927 1
Cu3 0.6310 0.3236 0.3073 1
Cu4 0.9837 0.6764 0.3073 1
Si1 0.2211 0.2211 0.0000 1
Si2 0.7789 0.7789 0.0000 1
Ge1 0.3119 0.5000 0.8119 1
Ge2 0.6881 0.5000 0.1881 1
```

=====

Structure and simulated powder XRD pattern of ZrPbO3 (a PBE-relaxed structure; a wavelength of 1.5418 Å).
Neutral-atom scattering factors, no anomalous dispersion.

Peak list (10 most intense, 5 to 70 degrees two-theta, by intensity)
d = 2.936 Å, I = 100
d = 2.963 Å, I = 47
d = 1.706 Å, I = 36
d = 2.095 Å, I = 24
d = 1.690 Å, I = 22
d = 2.057 Å, I = 16
d = 1.468 Å, I = 15
d = 2.405 Å, I = 15
d = 4.190 Å, I = 11
d = 4.115 Å, I = 7

Crystal structure
```
data_ZrPbO3
_chemical_formula_sum 'Zr8 Pb8 O24'
_space_group_name_H-M_alt 'P 1'
_space_group_IT_number 1
_space_group_name_Hall 'P 1'
_cell_length_a 5.9181
_cell_length_b 11.8643
_cell_length_c 8.2292
_cell_angle_alpha 90.00
_cell_angle_beta 90.00
_cell_angle_gamma 90.00
loop_
_atom_site_label
_atom_site_fract_x
_atom_site_fract_y
_atom_site_fract_z
_atom_site_occupancy
Zr1 0.2418 0.1246 0.0000 1
Zr2 0.2428 0.1246 0.5006 1
Zr3 0.2572 0.6246 0.5006 1
Zr4 0.2582 0.6246 0.0000 1
Zr5 0.7418 0.3754 0.0000 1
Zr6 0.7428 0.3754 0.5006 1
Zr7 0.7572 0.8754 0.5006 1
Zr8 0.7582 0.8754 0.0000 1
Pb1 0.2038 0.3772 0.7478 1
Pb2 0.2126 0.3721 0.2471 1
Pb3 0.2874 0.8721 0.2471 1
Pb4 0.2962 0.8772 0.7478 1
Pb5 0.7038 0.1228 0.7478 1
Pb6 0.7126 0.1279 0.2471 1
Pb7 0.7874 0.6279 0.2471 1
Pb8 0.7962 0.6228 0.7478 1
O1 0.0000 0.0000 0.5261 1
O2 0.0000 0.0000 0.9802 1
O3 0.0000 0.5000 0.5526 1
O4 0.0000 0.5000 0.9535 1
O5 0.0277 0.2603 0.0372 1
O6 0.0383 0.2642 0.4699 1
O7 0.1996 0.5922 0.2516 1
O8 0.2248 0.6593 0.7513 1
O9 0.2752 0.1593 0.7513 1
O10 0.3004 0.0922 0.2516 1
O11 0.4617 0.7642 0.4699 1
O12 0.4723 0.7603 0.0372 1
O13 0.5000 0.0000 0.5526 1
O14 0.5000 0.0000 0.9535 1
O15 0.5000 0.5000 0.5261 1
O16 0.5000 0.5000 0.9802 1
O17 0.5277 0.2397 0.0372 1
O18 0.5383 0.2358 0.4699 1
O19 0.6996 0.9078 0.2516 1
O20 0.7248 0.8407 0.7513 1
O21 0.7752 0.3407 0.7513 1
O22 0.8004 0.4078 0.2516 1
O23 0.9617 0.7358 0.4699 1
O24 0.9723 0.7397 0.0372 1
```

=====

Structure and simulated powder XRD pattern of Sr4Pr3Pb3N2 (a PBE-relaxed structure; a wavelength of 1.5418 Å).
Neutral-atom scattering factors, no anomalous dispersion.

Peak list (10 most intense, 5 to 70 degrees two-theta, by intensity)
d = 2.984 Å, I = 100
d = 2.569 Å, I = 19
d = 2.547 Å, I = 18
d = 2.639 Å, I = 17
d = 1.552 Å, I = 15
d = 1.542 Å, I = 14
d = 1.809 Å, I = 13
d = 1.492 Å, I = 12
d = 1.841 Å, I = 12
d = 1.582 Å, I = 12

Crystal structure
```
data_Sr4Pr3Pb3N2
_chemical_formula_sum 'Sr4 Pr3 Pb3 N2'
_space_group_name_H-M_alt 'P 1'
_space_group_IT_number 1
_space_group_name_Hall 'P 1'
_cell_length_a 13.4428
_cell_length_b 13.4428
_cell_length_c 5.0946
_cell_angle_alpha 90.00
_cell_angle_beta 90.00
_cell_angle_gamma 157.96
loop_
_atom_site_label
_atom_site_fract_x
_atom_site_fract_y
_atom_site_fract_z
_atom_site_occupancy
Sr1 0.0976 0.9024 0.0000 1
Sr2 0.2010 0.7990 0.5000 1
Sr3 0.7990 0.2010 0.5000 1
Sr4 0.9024 0.0976 0.0000 1
Pr1 0.0000 0.0000 0.5000 1
Pr2 0.3971 0.6029 0.5000 1
Pr3 0.6029 0.3971 0.5000 1
Pb1 0.3113 0.6887 0.0000 1
Pb2 0.5000 0.5000 0.0000 1
Pb3 0.6887 0.3113 0.0000 1
N1 0.0941 0.9059 0.5000 1
N2 0.9059 0.0941 0.5000 1
```